Diffraction record for Ta2Tl2PbS7. The X-ray powder pattern is simulated, not measured: it uses a cell relaxed with PBE and a wavelength of 1.5418 Å.
Neutral-atom scattering factors, no anomalous dispersion.

Principal peaks in the range 10 to 80 degrees two-theta, in order of rising 2θ:
2θ (°)	intensity
21.29	100
26.14	68
33.96	51
38.08	22
43.35	41
46.11	26
51.33	13
58.48	14

Structure:
Cell lengths 10.592, 10.592, 10.592 Å; angles 37.55, 37.55, 37.55 degrees
Element x y z (fractional)
Ta (0.080, 0.080, 0.080)
Ta (0.920, 0.920, 0.920)
Tl (0.294, 0.294, 0.294)
Tl (0.706, 0.706, 0.706)
Pb (0.500, 0.500, 0.500)
S (0.000, 0.000, 0.000)
S (0.101, 0.420, 0.792)
S (0.208, 0.580, 0.899)
S (0.420, 0.792, 0.101)
S (0.580, 0.899, 0.208)
S (0.792, 0.102, 0.420)
S (0.899, 0.208, 0.580)

=====

Diffraction record for TbY4PbS8. The X-ray powder pattern is simulated, not measured: it uses a cell relaxed with PBE and a wavelength of 1.5418 Å.
Neutral-atom scattering factors, no anomalous dispersion.

Principal peaks in the range 10 to 80 degrees two-theta, in order of rising 2θ:
2θ (°)	intensity
21.78	38
25.59	100
30.98	13
38.18	17
40.60	46
44.38	57
51.92	15
61.74	14

Structure:
Cell lengths 8.170, 8.170, 8.170 Å; angles 59.92, 59.92, 59.92 degrees
Element x y z (fractional)
Tb (0.000, 0.000, 0.000)
Y (0.000, 0.000, 0.493)
Y (0.000, 0.493, 0.000)
Y (0.493, 0.000, 0.000)
Y (0.623, 0.623, 0.623)
Pb (0.373, 0.373, 0.373)
S (0.225, 0.756, 0.756)
S (0.234, 0.234, 0.234)
S (0.235, 0.235, 0.788)
S (0.235, 0.788, 0.235)
S (0.756, 0.225, 0.756)
S (0.756, 0.756, 0.225)
S (0.756, 0.756, 0.756)
S (0.788, 0.235, 0.235)

=====

Diffraction record for TePbS2. The X-ray powder pattern is simulated, not measured: it uses a cell relaxed with PBE and a wavelength of 1.5418 Å.
Neutral-atom scattering factors, no anomalous dispersion.

Principal peaks in the range 10 to 80 degrees two-theta, in order of rising 2θ:
2θ (°)	intensity
23.53	58
24.04	32
24.38	52
24.80	100
25.31	51
30.08	54
33.79	37
38.73	41

Structure:
Cell lengths 4.437, 7.346, 7.499 Å; angles 78.13, 78.18, 89.77 degrees
Element x y z (fractional)
Te (0.000, 0.000, 0.000)
Te (0.493, 0.499, 0.305)
Pb (0.181, 0.492, 0.849)
Pb (0.806, 0.004, 0.486)
S (0.289, 0.252, 0.584)
S (0.319, 0.740, 0.490)
S (0.623, 0.243, 0.055)
S (0.702, 0.804, 0.865)

=====

Diffraction record for Te3PbS. The X-ray powder pattern is simulated, not measured: it uses a cell relaxed with PBE and a wavelength of 1.5418 Å.
Neutral-atom scattering factors, no anomalous dispersion.

Principal peaks in the range 10 to 80 degrees two-theta, in order of rising 2θ:
2θ (°)	intensity
23.58	11
28.99	100
33.60	64
48.25	46
57.28	45
60.08	16
70.63	7
78.09	18

Structure:
Cell lengths 5.335, 5.335, 5.335 Å; angles 90.00, 90.00, 90.00 degrees
Element x y z (fractional)
Te (0.000, 0.000, 0.500)
Te (0.000, 0.500, 0.000)
Te (0.500, 0.000, 0.000)
Pb (0.500, 0.500, 0.500)
S (0.000, 0.000, 0.000)

=====

Diffraction record for TePb4S3. The X-ray powder pattern is simulated, not measured: it uses a cell relaxed with PBE and a wavelength of 1.5418 Å.
Neutral-atom scattering factors, no anomalous dispersion.

Principal peaks in the range 10 to 80 degrees two-theta, in order of rising 2θ:
2θ (°)	intensity
24.78	100
28.29	54
28.58	54
29.20	52
40.65	38
41.10	38
41.31	40
50.83	39

Structure:
Cell lengths 12.235, 6.247, 6.309 Å; angles 90.00, 90.00, 90.00 degrees
Element x y z (fractional)
Te (0.000, 0.242, 0.000)
Te (0.500, 0.758, 0.500)
Pb (0.000, 0.225, 0.490)
Pb (0.000, 0.744, 0.949)
Pb (0.237, 0.726, 0.443)
Pb (0.263, 0.274, 0.943)
Pb (0.500, 0.256, 0.449)
Pb (0.500, 0.775, 0.990)
Pb (0.737, 0.274, 0.943)
Pb (0.763, 0.726, 0.443)
S (0.000, 0.757, 0.501)
S (0.249, 0.273, 0.494)
S (0.251, 0.727, 0.994)
S (0.500, 0.243, 0.001)
S (0.749, 0.727, 0.994)
S (0.751, 0.273, 0.494)